Diffraction record for La12PrEr7. The powder diffractogram is calculated, not measured: it uses a PBE-relaxed structure and Cu Kα (λ = 1.5418 Å).
Intensities are scaled so that the largest is 100.

Peak list (12 most intense, 2θ = 5–70°, by angle)
Position (°2θ)  d (Å)  I (rel.)
9.03  9.788  21.2
27.33  3.263  50.5
28.49  3.133  22.3
29.85  2.994  100.0
29.95  2.984  48.2
32.59  2.748  37.4
32.99  2.715  42.0
33.98  2.638  33.8
38.77  2.322  37.2
39.82  2.264  28.1
46.38  1.958  26.2
47.13  1.928  28.0

Structure:
```
20
Lattice="9.788 5.651 2.125 -9.788 5.651 2.125 0.000 -11.302 2.125" Properties=species:S:1:pos:R:3 pbc="T T T"
La -3.990 -4.392 2.125
La -5.799 -1.259 2.125
La 0.000 -4.020 1.192
La -3.481 2.010 1.192
La 3.990 -4.392 2.125
La -1.809 5.651 2.125
La 3.481 2.010 1.192
La -3.481 -2.010 5.183
La 5.799 -1.259 2.125
La 1.809 5.651 2.125
La 3.481 -2.010 5.183
La 0.000 4.020 5.183
Pr 0.000 0.000 3.188
Er 0.000 0.000 0.000
Er -2.432 -1.404 1.924
Er 2.432 -1.404 1.924
Er 0.000 2.808 1.924
Er 0.000 -2.808 4.451
Er -2.432 1.404 4.451
Er 2.432 1.404 4.451
```

***

Diffraction record for La5Pr5Er2. The powder diffractogram is calculated, not measured: it uses a PBE-relaxed structure and Cu Kα (λ = 1.5418 Å).
Intensities are scaled so that the largest is 100.

Peak list (9 most intense, 2θ = 5–70°, by angle)
Position (°2θ)  d (Å)  I (rel.)
29.63  3.015  100.0
34.15  2.626  17.2
34.44  2.604  33.6
49.28  1.849  24.4
49.50  1.841  12.0
58.37  1.581  14.6
58.73  1.572  14.4
58.78  1.571  14.4
61.51  1.508  12.5

Structure:
```
12
Lattice="7.878 -2.605 0.000 7.878 2.605 0.000 -5.253 0.000 10.411" Properties=species:S:1:pos:R:3 pbc="T T T"
La 0.000 0.000 0.000
La -2.658 0.000 7.800
La -0.001 0.000 5.212
La 10.503 0.000 5.200
La 13.160 0.000 2.612
Pr 2.592 0.000 2.586
Pr 5.268 0.000 0.002
Pr 5.251 0.000 5.206
Pr 5.235 0.000 10.409
Pr 7.910 0.000 7.826
Er 2.617 0.000 7.808
Er 7.885 0.000 2.603
```

***

Diffraction record for La8Pr4Er. The powder diffractogram is calculated, not measured: it uses a PBE-relaxed structure and Cu Kα (λ = 1.5418 Å).
Intensities are scaled so that the largest is 100.

Peak list (12 most intense, 2θ = 5–70°, by angle)
Position (°2θ)  d (Å)  I (rel.)
22.17  4.009  28.4
26.78  3.328  20.1
29.93  2.986  100.0
34.31  2.614  10.5
34.51  2.599  8.7
37.56  2.394  43.6
37.75  2.383  9.0
46.16  1.967  9.2
53.13  1.724  20.0
55.19  1.664  18.1
58.27  1.584  12.1
62.19  1.493  12.4

Structure:
```
13
Lattice="5.971 3.447 4.009 -5.971 3.447 4.009 0.000 -6.895 4.009" Properties=species:S:1:pos:R:3 pbc="T T T"
La 0.000 -3.463 4.054
La -2.999 1.731 4.054
La 0.000 0.000 2.856
La -2.999 -1.731 7.973
La 2.999 1.731 4.054
La 0.000 0.000 9.171
La 2.999 -1.731 7.973
La 0.000 3.463 7.973
Pr 0.000 0.000 0.000
Pr -2.986 -1.724 4.009
Pr -2.986 1.724 8.018
Pr 0.000 3.447 4.009
Er 0.000 0.000 6.014
```

***

Diffraction record for LaPr4Er7. The powder diffractogram is calculated, not measured: it uses a PBE-relaxed structure and Cu Kα (λ = 1.5418 Å).
Intensities are scaled so that the largest is 100.

Peak list (12 most intense, 2θ = 5–70°, by angle)
Position (°2θ)  d (Å)  I (rel.)
30.38  2.942  100.0
30.49  2.932  49.5
30.61  2.920  49.0
35.24  2.547  33.9
35.28  2.544  33.6
35.45  2.533  33.2
50.61  1.803  24.3
50.87  1.795  35.8
51.07  1.789  11.8
60.26  1.536  21.6
60.39  1.533  28.5
60.53  1.530  14.2

Structure:
```
12
Lattice="7.173 0.000 0.000 3.554 7.186 0.000 1.718 1.776 7.640" Properties=species:S:1:pos:R:3 pbc="T T T"
La 0.000 0.000 0.000
Pr 3.525 3.599 5.106
Pr 7.089 7.151 5.097
Pr 5.356 1.811 2.543
Pr 8.919 5.363 2.534
Er 1.763 1.784 2.546
Er 3.571 3.576 0.006
Er 5.337 5.384 2.537
Er 3.586 0.000 0.000
Er 7.108 3.578 5.104
Er 8.874 5.386 7.634
Er 10.682 7.178 5.094
```

***

Diffraction record for La7PrEr3. The powder diffractogram is calculated, not measured: it uses a PBE-relaxed structure and Cu Kα (λ = 1.5418 Å).
Intensities are scaled so that the largest is 100.

Peak list (12 most intense, 2θ = 5–70°, by angle)
Position (°2θ)  d (Å)  I (rel.)
27.64  3.228  20.2
30.03  2.975  87.0
30.35  2.945  77.5
30.75  2.907  100.0
33.05  2.711  58.1
36.43  2.466  67.5
49.79  1.831  24.1
50.20  1.817  23.0
51.75  1.766  17.9
53.19  1.722  18.4
57.55  1.601  18.1
62.46  1.487  28.0

Structure:
```
11
Lattice="6.504 0.000 0.000 0.644 7.830 0.000 0.659 1.022 7.774" Properties=species:S:1:pos:R:3 pbc="T T T"
La 0.000 0.000 0.000
La 1.727 2.348 2.061
La 2.689 5.360 7.186
La 2.683 7.816 4.391
La 5.123 1.035 3.383
La 5.117 3.491 0.588
La 6.080 6.504 5.713
Pr 3.252 0.000 0.000
Er 0.653 5.559 2.595
Er 3.903 4.426 3.887
Er 7.154 3.292 5.179
```

***

Diffraction record for LaPr8Er6. The powder diffractogram is calculated, not measured: it uses a PBE-relaxed structure and Cu Kα (λ = 1.5418 Å).
Intensities are scaled so that the largest is 100.

Peak list (12 most intense, 2θ = 5–70°, by angle)
Position (°2θ)  d (Å)  I (rel.)
27.38  3.257  21.6
29.78  3.000  22.1
31.25  2.863  100.0
31.58  2.833  3.9
40.63  2.220  4.6
40.89  2.207  20.4
48.41  1.880  20.9
53.78  1.704  18.0
57.87  1.593  16.1
58.75  1.572  14.2
61.87  1.500  4.6
65.18  1.431  5.7

Structure:
```
15
Lattice="9.951 0.000 0.000 -4.975 8.617 0.000 0.000 0.000 6.001" Properties=species:S:1:pos:R:3 pbc="T T T"
La 0.000 0.000 0.000
Pr -3.337 6.700 4.334
Pr 0.842 2.377 4.334
Pr 2.480 0.460 1.666
Pr 0.000 5.745 4.309
Pr 4.975 2.872 1.691
Pr 2.495 8.158 4.334
Pr 4.133 6.240 1.666
Pr 8.313 1.918 1.666
Er -2.150 5.349 1.426
Er 1.418 4.081 1.426
Er 4.243 0.812 4.575
Er 0.732 7.805 1.426
Er 3.557 4.537 4.575
Er 7.125 3.269 4.575
```

***

Diffraction record for La2PrEr7. The powder diffractogram is calculated, not measured: it uses a PBE-relaxed structure and Cu Kα (λ = 1.5418 Å).
Intensities are scaled so that the largest is 100.

Peak list (12 most intense, 2θ = 5–70°, by angle)
Position (°2θ)  d (Å)  I (rel.)
30.55  2.926  99.2
30.67  2.915  98.3
35.49  2.529  100.0
50.93  1.793  24.0
51.13  1.786  35.6
51.19  1.785  11.8
60.49  1.530  7.1
60.65  1.527  35.4
60.78  1.524  14.1
60.85  1.522  28.1
63.50  1.465  6.2
63.70  1.461  6.1

Structure:
```
10
Lattice="6.188 0.000 0.000 2.038 6.854 0.000 2.063 1.201 7.629" Properties=species:S:1:pos:R:3 pbc="T T T"
La 2.054 2.176 0.766
La 8.235 5.879 6.863
Pr 1.031 0.601 3.815
Er 2.051 4.027 3.815
Er 3.070 5.602 0.779
Er 4.110 1.534 5.316
Er 5.140 4.951 5.319
Er 5.150 3.104 2.310
Er 6.180 6.520 2.313
Er 7.220 2.452 6.850
```

***

Diffraction record for La12Pr5Er2. The powder diffractogram is calculated, not measured: it uses a PBE-relaxed structure and Cu Kα (λ = 1.5418 Å).
Intensities are scaled so that the largest is 100.

Peak list (12 most intense, 2θ = 5–70°, by angle)
Position (°2θ)  d (Å)  I (rel.)
26.89  3.315  30.9
29.01  3.078  23.6
29.73  3.005  57.5
30.23  2.956  17.5
30.86  2.898  100.0
31.99  2.797  41.4
33.79  2.653  21.9
34.31  2.614  18.1
36.03  2.493  11.7
42.91  2.108  12.1
53.48  1.714  20.0
55.56  1.654  11.1

Structure:
```
19
Lattice="6.376 0.000 0.000 2.016 10.783 0.000 2.008 4.092 9.986" Properties=species:S:1:pos:R:3 pbc="T T T"
La 1.557 5.700 3.830
La 2.498 2.825 5.608
La 2.501 6.246 0.492
La 5.525 14.079 9.452
La 4.837 7.260 8.569
La 4.848 10.679 3.486
La 5.553 4.196 6.501
La 5.563 7.615 1.417
La 4.875 0.796 0.535
La 7.899 8.629 9.495
La 7.902 12.050 4.379
La 8.843 9.175 6.156
Pr 1.656 2.656 1.786
Pr 5.673 10.624 7.137
Pr 5.200 7.437 4.993
Pr 4.727 4.251 2.850
Pr 8.744 12.219 8.201
Er 2.023 8.995 2.663
Er 8.377 5.880 7.324
```

***

Diffraction record for La3Pr6Er2. The powder diffractogram is calculated, not measured: it uses a PBE-relaxed structure and Cu Kα (λ = 1.5418 Å).
Intensities are scaled so that the largest is 100.

Peak list (12 most intense, 2θ = 5–70°, by angle)
Position (°2θ)  d (Å)  I (rel.)
29.66  3.012  100.0
29.74  3.004  33.1
34.31  2.614  45.3
34.59  2.593  22.2
49.30  1.848  16.2
49.43  1.844  16.2
58.54  1.577  19.4
58.61  1.575  9.7
58.74  1.572  9.5
58.91  1.568  9.6
59.06  1.564  9.4
61.53  1.507  8.4

Structure:
```
11
Lattice="6.382 0.000 0.000 -1.117 8.164 0.000 -2.156 -2.799 7.481" Properties=species:S:1:pos:R:3 pbc="T T T"
La 0.000 0.000 0.000
La -1.120 5.642 2.700
La 4.229 -0.278 4.781
Pr -1.132 3.147 5.474
Pr 1.037 0.988 3.397
Pr 1.021 -1.515 6.131
Pr 2.088 6.879 1.351
Pr 2.072 4.376 4.084
Pr 4.242 2.217 2.007
Er 1.045 3.486 0.669
Er 2.064 1.878 6.812
```

***

Diffraction record for LaPr7Er3. The powder diffractogram is calculated, not measured: it uses a PBE-relaxed structure and Cu Kα (λ = 1.5418 Å).
Intensities are scaled so that the largest is 100.

Peak list (12 most intense, 2θ = 5–70°, by angle)
Position (°2θ)  d (Å)  I (rel.)
27.61  3.231  17.6
30.04  2.975  86.3
30.19  2.960  76.7
30.81  2.902  100.0
32.95  2.718  57.9
36.46  2.465  70.9
49.85  1.829  24.9
50.05  1.822  23.7
51.61  1.771  17.7
62.47  1.487  28.7
62.58  1.484  18.4
64.19  1.451  16.2

Structure:
```
11
Lattice="5.955 -5.147 0.000 5.955 5.147 0.000 -0.697 0.000 6.468" Properties=species:S:1:pos:R:3 pbc="T T T"
La 0.000 0.000 0.000
Pr -0.348 0.000 3.234
Pr 2.493 1.811 4.911
Pr 2.971 0.000 1.850
Pr 2.493 -1.811 4.911
Pr 8.720 1.811 1.557
Pr 8.241 0.000 4.618
Pr 8.720 -1.811 1.557
Er 5.606 1.723 3.234
Er 5.955 0.000 0.000
Er 5.606 -1.723 3.234
```

***

Diffraction record for La10PrEr4. The powder diffractogram is calculated, not measured: it uses a PBE-relaxed structure and Cu Kα (λ = 1.5418 Å).
Intensities are scaled so that the largest is 100.

Peak list (12 most intense, 2θ = 5–70°, by angle)
Position (°2θ)  d (Å)  I (rel.)
27.18  3.280  48.6
29.99  2.980  39.5
30.87  2.896  100.0
31.34  2.854  96.9
33.24  2.695  27.3
34.68  2.587  20.9
40.04  2.252  28.4
44.23  2.048  30.2
55.20  1.664  19.2
56.09  1.640  30.6
65.41  1.427  27.5
65.71  1.421  21.8

Structure:
```
15
Lattice="-5.793 5.793 3.980 5.793 -5.793 3.980 5.793 5.793 -3.980" Properties=species:S:1:pos:R:3 pbc="T T T"
La 5.793 -3.257 2.315
La 2.536 0.000 1.665
La 9.049 0.000 1.665
La 5.793 0.000 1.990
La 0.000 2.536 1.665
La 5.793 3.257 2.315
La 0.000 5.793 1.990
La -3.257 5.793 2.315
La 3.257 5.793 2.315
La 0.000 9.049 1.665
Pr 0.000 0.000 3.980
Er 3.129 3.129 0.000
Er 2.663 -2.663 3.980
Er -2.663 2.663 3.980
Er 2.663 2.663 3.980
```

***

Diffraction record for La12PrEr5. The powder diffractogram is calculated, not measured: it uses a PBE-relaxed structure and Cu Kα (λ = 1.5418 Å).
Intensities are scaled so that the largest is 100.

Peak list (12 most intense, 2θ = 5–70°, by angle)
Position (°2θ)  d (Å)  I (rel.)
29.40  3.038  29.5
29.57  3.021  29.7
31.21  2.866  100.0
42.19  2.142  22.2
47.14  1.928  7.5
53.29  1.719  21.5
53.51  1.713  21.9
56.54  1.628  8.6
56.64  1.625  8.7
65.09  1.433  11.2
69.23  1.357  5.0
69.51  1.352  5.0

Structure:
```
18
Lattice="5.784 -9.114 0.000 5.784 9.114 0.000 0.000 0.000 6.041" Properties=species:S:1:pos:R:3 pbc="T T T"
La 3.993 5.957 0.000
La 1.802 0.000 3.021
La 3.962 3.055 3.021
La 7.575 5.957 0.000
La 3.914 0.000 0.000
La 7.605 3.055 3.021
La 3.962 -3.055 3.021
La 7.653 0.000 0.000
La 3.993 -5.957 0.000
La 7.605 -3.055 3.021
La 9.766 0.000 3.021
La 7.575 -5.957 0.000
Pr 0.000 0.000 0.000
Er 5.784 6.089 3.021
Er 5.784 2.942 0.000
Er 5.784 0.000 3.021
Er 5.784 -2.942 0.000
Er 5.784 -6.089 3.021
```